Record 1
NaHg3F8: computed powder XRD pattern (λ = 1.5418 Å (Cu Kα)), based on a crystal structure in Alexandria, relaxed with GGA-PBE.

Cell and atoms:
```
NaHg3F8
1.0
5.5770 0.0000 0.0000
0.0000 5.5770 0.0000
0.0000 0.0000 5.5770
Na Hg F
1 3 8
Direct
0.0000 0.0000 0.0000 Na
0.0000 0.5000 0.5000 Hg
0.5000 0.0000 0.5000 Hg
0.5000 0.5000 0.0000 Hg
0.2525 0.2525 0.2525 F
0.2525 0.2525 0.7475 F
0.2525 0.7475 0.2525 F
0.2525 0.7475 0.7475 F
0.7475 0.2525 0.2525 F
0.7475 0.2525 0.7475 F
0.7475 0.7475 0.2525 F
0.7475 0.7475 0.7475 F
```

Principal peaks in the range 10 to 90 degrees two-theta, sorted by position:
Position (°2θ)  I/Imax  index
15.89  218  1 0 0
22.55  192  1 1 0
27.71  1000  1 1 1
32.10  284  2 0 0
36.01  118  2 1 0
46.03  588  2 2 0
54.58  470  3 1 1
74.10  193  3 3 1
76.37  120  4 2 0
85.25  189  4 2 2

Record 2
Na2HgPdF8: computed powder XRD pattern (λ = 1.5418 Å (Cu Kα)), based on a crystal structure in Alexandria, relaxed with GGA-PBE.

Cell and atoms:
```
Na2HgPdF8
1.0
4.9926 0.0000 0.0000
0.0000 7.3175 0.0000
-0.3051 0.0000 5.0787
Na Hg Pd F
2 1 1 8
Direct
0.0000 0.2420 0.0000 Na
0.0000 0.7580 0.0000 Na
0.5000 0.5000 0.5000 Hg
0.5000 0.0000 0.5000 Pd
0.1949 0.5000 0.2047 F
0.2108 0.0000 0.2254 F
0.3226 0.1952 0.6865 F
0.3226 0.8048 0.6865 F
0.6774 0.1952 0.3135 F
0.6774 0.8048 0.3135 F
0.7892 0.0000 0.7746 F
0.8051 0.5000 0.7953 F
```

Principal peaks in the range 10 to 90 degrees two-theta, sorted by position:
Position (°2θ)  I/Imax  index
17.46  707  0 0 1
17.80  668  1 0 0
24.28  1000  1 0 -1
25.79  519  1 0 1
30.10  512  0 2 1
30.31  474  1 2 0
34.62  513  1 2 -1
46.35  252  1 2 -2
46.77  227  2 2 -1
48.11  210  1 2 2